This entry pairs a crystal structure of Ho3ErTm12 with its theoretical powder diffractogram. Radiation: a wavelength of 1.5418 Å. Structure: a crystal structure in Alexandria, relaxed with PBE.
Intensities are scaled so that the largest is 100.

Main lines, by angle (2θ = 10–90°):
2θ = 31.40°, rel. 100, (1 1 4)
2θ = 36.42°, rel. 51, (2 0 0)
2θ = 52.46°, rel. 36, (2 2 0)
2θ = 62.43°, rel. 43, (3 1 4)
2θ = 65.54°, rel. 12, (2 2 8)
2θ = 77.37°, rel. 6, (4 0 0)
2θ = 85.86°, rel. 18, (3 3 4)
2θ = 88.66°, rel. 17, (4 2 0)

Cell and atoms:
Lattice parameters (Å, degrees): 4.934 4.934 19.731 90.00 90.00 90.00
Space group P4/mmm (No. 123)
Inequivalent atoms, fractional coordinates:
1 Ho 0.000 0.000 0.000 [1 per cell]
2 Ho 0.000 0.000 0.250 [2 per cell]
3 Er 0.000 0.000 0.500 [1 per cell]
4 Tm 0.000 0.500 0.125 [4 per cell]
5 Tm 0.000 0.500 0.375 [4 per cell]
6 Tm 0.500 0.500 0.000 [1 per cell]
7 Tm 0.500 0.500 0.250 [2 per cell]
8 Tm 0.500 0.500 0.500 [1 per cell]